[1]
# Th2ZnInIr
Calculated powder diffractogram, Cu Kα (weighted mean of Kα1 and Kα2). Input: a DFT-relaxed cell (PBE, Alexandria).

Principal peaks in the range 15° ≤ 2θ ≤ 90°, low angle first:
2θ (°)	d/Å	I/Imax	(hkl)
24.59	3.620	22	1 0 1
32.31	2.771	100	1 2 1
34.32	2.613	21	0 3 1
35.25	2.546	29	0 2 2
36.50	2.462	51	1 1 2
37.36	2.407	26	1 3 0
40.85	2.209	32	2 0 0
54.02	1.698	14	0 3 3
55.03	1.669	17	2 2 2
65.22	1.431	26	1 5 2

Atomic structure:
Unit cell a=4.419 b=8.612 c=6.316 alpha=90.00 beta=90.00 gamma=90.00
Space group Pmmn (No. 59, origin choice 2)
Asymmetric unit:
1 Th 0.250 0.046 0.228
2 Zn 0.250 0.750 0.545
3 In 0.250 0.250 0.728
4 Ir 0.250 0.750 0.961



[2]
# Ti12In3Ir
Calculated powder diffractogram, Cu Kα (weighted mean of Kα1 and Kα2). Input: a DFT-relaxed cell (PBE, Alexandria).

Principal peaks in the range 15° ≤ 2θ ≤ 90°, low angle first:
2θ (°)	d/Å	I/Imax	(hkl)
21.00	4.231	23	1 0 0
22.67	3.922	10	0 0 4
29.86	2.992	10	1 1 0
31.09	2.876	18	1 0 4
37.82	2.379	100	1 1 4
42.74	2.116	37	2 0 0
46.30	1.961	12	0 0 8
62.04	1.496	11	2 2 0
64.83	1.438	16	2 0 8
75.00	1.266	24	3 1 4

Atomic structure:
Unit cell a=4.231 b=4.231 c=15.689 alpha=90.00 beta=90.00 gamma=90.00
Space group P4/mmm (No. 123)
Asymmetric unit:
1 Ti 0.000 0.000 0.000
2 Ti 0.000 0.000 0.238
3 Ti 0.000 0.000 0.500
4 Ti 0.000 0.500 0.107
5 Ti 0.000 0.500 0.371
6 In 0.500 0.500 0.240
7 In 0.500 0.500 0.500
8 Ir 0.500 0.500 0.000



[3]
# TlInIr4
Calculated powder diffractogram, Cu Kα (weighted mean of Kα1 and Kα2). Input: a DFT-relaxed cell (PBE, Alexandria).

Principal peaks in the range 15° ≤ 2θ ≤ 90°, low angle first:
2θ (°)	d/Å	I/Imax	(hkl)
20.39	4.355	13	1 1 1
33.60	2.667	21	2 2 0
39.62	2.275	100	3 1 1
41.46	2.178	47	2 2 2
48.25	1.886	8	4 0 0
60.08	1.540	8	4 2 2
64.15	1.452	33	5 1 1
70.63	1.334	29	4 4 0
84.15	1.150	12	5 3 3
85.35	1.137	18	6 2 2

Atomic structure:
Unit cell a=7.544 b=7.544 c=7.544 alpha=90.00 beta=90.00 gamma=90.00
Space group F-43m (No. 216)
Asymmetric unit:
1 Tl 0.000 0.000 0.000
2 In 0.250 0.250 0.750
3 Ir 0.125 0.125 0.375



[4]
# Tm8InIr2
Calculated powder diffractogram, Cu Kα (weighted mean of Kα1 and Kα2). Input: a DFT-relaxed cell (PBE, Alexandria).

Principal peaks in the range 15° ≤ 2θ ≤ 90°, low angle first:
2θ (°)	d/Å	I/Imax	(hkl)
30.23	2.956	89	2 0 1
32.38	2.765	100	0 4 1
33.15	2.702	79	3 1 -1
34.16	2.625	38	1 1 -2
34.79	2.579	69	2 4 0
38.13	2.360	57	3 3 0
38.58	2.334	35	2 2 -2
38.95	2.312	38	1 5 -1
45.20	2.006	44	4 2 0
65.38	1.427	33	2 8 1

Atomic structure:
Unit cell a=8.677 b=13.039 c=5.375 alpha=90.00 beta=103.69 gamma=90.00
Space group C2/m (No. 12)
Asymmetric unit:
1 Tm 0.000 0.248 0.000
2 Tm 0.114 0.500 0.800
3 Tm 0.199 0.131 0.579
4 In 0.000 0.000 0.000
5 Ir 0.000 0.312 0.500



[5]
# Tm6In3Ir
Calculated powder diffractogram, Cu Kα (weighted mean of Kα1 and Kα2). Input: a DFT-relaxed cell (PBE, Alexandria).

Principal peaks in the range 15° ≤ 2θ ≤ 90°, low angle first:
2θ (°)	d/Å	I/Imax	(hkl)
30.47	2.934	24	2 3 0
30.77	2.906	87	1 3 1
34.87	2.573	100	3 0 1
35.68	2.517	61	0 0 2
36.84	2.440	28	2 4 0
37.09	2.424	40	1 4 1
47.60	1.910	18	2 3 2
52.21	1.752	20	2 4 2
60.16	1.538	15	4 3 2
63.59	1.463	29	3 0 3

Atomic structure:
Unit cell a=8.980 b=11.627 c=5.034 alpha=90.00 beta=90.00 gamma=90.00
Space group Pnnm (No. 58)
Asymmetric unit:
1 Tm 0.021 0.235 0.000
2 Tm 0.154 0.079 0.500
3 Tm 0.198 0.406 0.500
4 In 0.000 0.500 0.000
5 In 0.146 0.708 0.500
6 Ir 0.000 0.000 0.000



[6]
# Tm6InIr5
Calculated powder diffractogram, Cu Kα (weighted mean of Kα1 and Kα2). Input: a DFT-relaxed cell (PBE, Alexandria).

Principal peaks in the range 15° ≤ 2θ ≤ 90°, low angle first:
2θ (°)	d/Å	I/Imax	(hkl)
36.66	2.451	100	1 2 1
36.82	2.441	99	1 2 -2
37.75	2.383	93	2 0 -1
51.38	1.778	19	0 4 0
54.23	1.691	16	2 0 2
54.68	1.679	16	2 0 -4
65.50	1.425	36	2 4 -1
67.35	1.390	34	3 2 0
67.65	1.385	33	3 2 -3
77.96	1.226	11	2 4 2

Atomic structure:
Unit cell a=4.764 b=7.113 c=7.520 alpha=90.00 beta=108.03 gamma=90.00
Space group P2/m (No. 10)
Asymmetric unit:
1 Tm 0.000 0.234 0.000
2 Tm 0.327 0.245 0.655
3 In 0.500 0.500 0.000
4 Ir 0.162 0.500 0.323
5 Ir 0.167 0.000 0.334
6 Ir 0.500 0.000 0.000



[7]
# UInIr
Calculated powder diffractogram, Cu Kα (weighted mean of Kα1 and Kα2). Input: a DFT-relaxed cell (PBE, Alexandria).

Principal peaks in the range 15° ≤ 2θ ≤ 90°, low angle first:
2θ (°)	d/Å	I/Imax	(hkl)
35.73	2.513	100	1 0 3
39.14	2.301	44	1 1 0
42.12	2.145	7	1 1 2
45.90	1.977	9	0 0 6
47.42	1.917	14	1 0 5
56.56	1.627	15	2 0 0
61.87	1.500	14	1 1 6
68.72	1.366	30	2 1 3
75.70	1.256	8	2 0 6
76.84	1.241	7	2 1 5

Atomic structure:
Unit cell a=3.254 b=3.254 c=11.862 alpha=90.00 beta=90.00 gamma=90.00
Space group I4mm (No. 107)
Asymmetric unit:
1 U 0.000 0.000 0.000
2 In 0.000 0.000 0.707
3 Ir 0.000 0.000 0.365



[8]
# InIr2W
Calculated powder diffractogram, Cu Kα (weighted mean of Kα1 and Kα2). Input: a DFT-relaxed cell (PBE, Alexandria).

Principal peaks in the range 15° ≤ 2θ ≤ 90°, low angle first:
2θ (°)	d/Å	I/Imax	(hkl)
15.02	5.899	14	0 0 1
38.50	2.338	100	0 1 2
39.15	2.301	99	1 1 0
43.97	2.059	69	1 0 2
47.39	1.918	29	0 2 0
66.63	1.404	40	1 2 2
76.76	1.242	24	1 1 4
78.01	1.225	26	2 1 2
82.15	1.173	11	0 3 2
82.54	1.169	22	1 3 0

Atomic structure:
Unit cell a=2.876 b=3.836 c=5.899 alpha=90.00 beta=90.00 gamma=90.00
Space group Pmmm (No. 47)
Asymmetric unit:
1 In 0.000 0.000 0.000
2 Ir 0.500 0.500 0.270
3 W 0.000 0.000 0.500



[9]
# Y6In3Ir
Calculated powder diffractogram, Cu Kα (weighted mean of Kα1 and Kα2). Input: a DFT-relaxed cell (PBE, Alexandria).

Principal peaks in the range 15° ≤ 2θ ≤ 90°, low angle first:
2θ (°)	d/Å	I/Imax	(hkl)
24.94	3.570	17	1 2 1
30.32	2.948	93	1 3 1
30.58	2.923	15	0 4 0
34.37	2.609	100	3 0 1
34.59	2.593	53	0 0 2
36.63	2.453	54	2 4 0
46.64	1.948	33	3 4 1
51.05	1.789	17	2 6 0
51.24	1.783	16	2 4 2
61.85	1.500	18	3 0 3

Atomic structure:
Unit cell a=9.057 b=11.692 c=5.186 alpha=90.00 beta=90.00 gamma=90.00
Space group Pnnm (No. 58)
Asymmetric unit:
1 Y 0.015 0.236 0.000
2 Y 0.156 0.081 0.500
3 Y 0.192 0.411 0.500
4 In 0.000 0.500 0.000
5 In 0.151 0.721 0.500
6 Ir 0.000 0.000 0.000



[10]
# ZnInIr
Calculated powder diffractogram, Cu Kα (weighted mean of Kα1 and Kα2). Input: a DFT-relaxed cell (PBE, Alexandria).

Principal peaks in the range 15° ≤ 2θ ≤ 90°, low angle first:
2θ (°)	d/Å	I/Imax	(hkl)
19.65	4.518	100	0 1 1
36.72	2.448	42	2 1 1
39.91	2.259	66	0 2 2
41.73	2.165	59	2 2 0
42.23	2.140	57	2 0 2
54.93	1.672	13	2 3 1
55.75	1.649	13	2 1 3
73.36	1.291	22	2 4 2
74.41	1.275	21	2 2 4
78.09	1.224	18	4 2 2

Atomic structure:
Unit cell a=5.824 b=6.472 c=6.310 alpha=90.00 beta=90.00 gamma=90.00
Space group Imma (No. 74)
Asymmetric unit:
1 Zn 0.000 0.000 0.000
2 In 0.000 0.000 0.500
3 Ir 0.250 0.250 0.250



[11]
# K5In3
Calculated powder diffractogram, Cu Kα (weighted mean of Kα1 and Kα2). Input: a DFT-relaxed cell (PBE, Alexandria).

Principal peaks in the range 15° ≤ 2θ ≤ 90°, low angle first:
2θ (°)	d/Å	I/Imax	(hkl)
23.19	3.835	9	1 3 0
27.90	3.198	100	2 2 1
29.07	3.071	31	0 4 0
30.93	2.891	29	3 1 1
34.91	2.570	19	0 0 2
37.37	2.407	20	3 3 1
37.92	2.373	10	0 2 2
46.05	1.971	16	0 4 2
50.82	1.797	17	2 6 1
58.41	1.580	12	2 2 3

Atomic structure:
Unit cell a=10.942 b=12.285 c=5.140 alpha=90.00 beta=90.00 gamma=90.00
Space group Cmmm (No. 65)
Asymmetric unit:
1 K 0.000 0.000 0.000
2 K 0.000 0.259 0.500
3 K 0.250 0.250 0.000
4 In 0.000 0.500 0.000
5 In 0.181 0.500 0.500



[12]
# K2In
Calculated powder diffractogram, Cu Kα (weighted mean of Kα1 and Kα2). Input: a DFT-relaxed cell (PBE, Alexandria).

Principal peaks in the range 15° ≤ 2θ ≤ 90°, low angle first:
2θ (°)	d/Å	I/Imax	(hkl)
19.10	4.647	34	2 0 0
25.41	3.505	50	2 1 1
27.14	3.286	52	2 2 0
30.41	2.939	100	3 1 0
30.62	2.920	74	1 1 2
33.58	2.668	78	2 0 2
43.55	2.078	27	4 2 0
48.09	1.892	26	4 0 2
50.18	1.818	36	3 3 2
57.97	1.591	23	5 1 2

Atomic structure:
Unit cell a=9.294 b=9.294 c=6.519 alpha=90.00 beta=90.00 gamma=90.00
Space group I4/mcm (No. 140)
Asymmetric unit:
1 K 0.168 0.332 0.000
2 In 0.000 0.000 0.250